Calculated powder XRD pattern of MgFeB14 for Cu Kα, from a structure optimized by DFT (PBE).
Lines closer than 0.1° are merged.

Cell and atoms:
a b c (Å): 5.8678 10.1622 8.1419
angles (deg): 90.00 90.00 90.00
Space group Imma (No. 74)
Asymmetric unit:
Mg  0.0000  0.2500  0.1558
Fe  0.2500  0.2500  0.7500
B  0.0000  0.0927  0.6712
B  0.0000  0.1544  0.8868
B  0.0000  0.1666  0.4645
B  0.1592  0.0607  0.3360
B  0.2469  0.0834  0.5461

Top 10 peaks for 2θ from 15° to 90°, by angle:
d (Å), I_rel, index
5.081, 56, 0 2 0
4.071, 33, 0 0 2
3.177, 59, 0 2 2
2.664, 93, 2 1 1
2.217, 32, 1 2 3
2.155, 90, 0 4 2
2.140, 100, 2 3 1
2.118, 39, 0 3 3
1.717, 27, 2 3 3
1.588, 31, 2 2 4